No. 1
The following is a calculated PXRD pattern of Ca6CdHg3. It was derived from a structure optimized by DFT (GGA-PBE), using Cu Kα, 1.54184 Å.

Largest 10 diffraction maxima, in order of rising 2θ, 2θ = 15–90°:
two_theta  d/Å  intensity
22.7  3.917  57
22.9  3.879  28
32.0  2.793  30
32.4  2.762  75
32.6  2.750  100
40.2  2.242  14
46.4  1.959  25
52.6  1.741  12
58.1  1.588  27
58.2  1.584  11

Structural model:
```
data_Ca6CdHg3
_chemical_formula_sum 'Ca12 Cd2 Hg6'
_cell_length_a 9.535
_cell_length_b 5.495
_cell_length_c 11.848
_cell_angle_alpha 90.00
_cell_angle_beta 106.45
_cell_angle_gamma 90.00
_space_group_name_H-M_alt 'P 1'
_space_group_IT_number 1
loop_
_space_group_symop_operation_xyz
'x,y,z'
loop_
_atom_site_label
_atom_site_type_symbol
_atom_site_fract_x
_atom_site_fract_y
_atom_site_fract_z
Ca1 Ca 0.020 0.250 0.404
Ca2 Ca 0.131 0.750 0.178
Ca3 Ca 0.252 0.250 0.992
Ca4 Ca 0.337 0.750 0.816
Ca5 Ca 0.356 0.250 0.314
Ca6 Ca 0.401 0.250 0.613
Ca7 Ca 0.599 0.750 0.387
Ca8 Ca 0.644 0.750 0.686
Ca9 Ca 0.663 0.250 0.184
Ca10 Ca 0.748 0.750 0.008
Ca11 Ca 0.869 0.250 0.822
Ca12 Ca 0.980 0.750 0.596
Cd1 Cd 0.442 0.750 0.110
Cd2 Cd 0.558 0.250 0.890
Hg1 Hg 0.035 0.750 0.888
Hg2 Hg 0.132 0.250 0.706
Hg3 Hg 0.287 0.750 0.469
Hg4 Hg 0.713 0.250 0.531
Hg5 Hg 0.868 0.750 0.294
Hg6 Hg 0.965 0.250 0.112
```

---

No. 2
The following is a calculated PXRD pattern of RbCd4. It was derived from a structure optimized by DFT (GGA-PBE), using Cu Kα, 1.54184 Å.

Largest 10 diffraction maxima, in order of rising 2θ, 2θ = 15–90°:
two_theta  d/Å  intensity
27.2  3.282  100
27.4  3.257  51
35.8  2.506  97
36.5  2.459  46
37.7  2.387  41
38.5  2.339  58
39.2  2.301  28
45.7  1.986  73
52.4  1.745  31
65.7  1.421  26

Structural model:
```
data_RbCd4
_chemical_formula_sum 'Rb1 Cd4'
_cell_length_a 8.163
_cell_length_b 7.135
_cell_length_c 5.716
_cell_angle_alpha 78.00
_cell_angle_beta 58.77
_cell_angle_gamma 43.24
_space_group_name_H-M_alt 'P 1'
_space_group_IT_number 1
loop_
_space_group_symop_operation_xyz
'x,y,z'
loop_
_atom_site_label
_atom_site_type_symbol
_atom_site_fract_x
_atom_site_fract_y
_atom_site_fract_z
Rb1 Rb 0.000 0.000 0.000
Cd1 Cd 0.250 0.250 0.250
Cd2 Cd 0.299 0.299 0.701
Cd3 Cd 0.701 0.701 0.299
Cd4 Cd 0.750 0.750 0.750
```

---

No. 3
The following is a calculated PXRD pattern of RbLi2Th2Te6. It was derived from a structure optimized by DFT (GGA-PBE), using Cu Kα, 1.54184 Å.

Largest 10 diffraction maxima, in order of rising 2θ, 2θ = 15–90°:
two_theta  d/Å  intensity
24.5  3.632  100
26.1  3.419  50
32.3  2.772  51
33.3  2.687  45
34.6  2.591  17
35.1  2.558  20
37.5  2.399  16
38.7  2.330  21
43.9  2.064  17
46.4  1.956  17

Structural model:
```
data_RbLi2Th2Te6
_chemical_formula_sum 'Rb1 Li2 Th2 Te6'
_cell_length_a 7.300
_cell_length_b 8.008
_cell_length_c 8.237
_cell_angle_alpha 60.92
_cell_angle_beta 88.29
_cell_angle_gamma 86.55
_space_group_name_H-M_alt 'P 1'
_space_group_IT_number 1
loop_
_space_group_symop_operation_xyz
'x,y,z'
loop_
_atom_site_label
_atom_site_type_symbol
_atom_site_fract_x
_atom_site_fract_y
_atom_site_fract_z
Rb1 Rb 0.000 0.000 0.000
Li1 Li 0.500 0.326 0.348
Li2 Li 0.500 0.674 0.652
Th1 Th 0.000 0.325 0.350
Th2 Th 0.000 0.675 0.650
Te1 Te 0.255 0.557 0.000
Te2 Te 0.262 0.375 0.607
Te3 Te 0.262 0.983 0.392
Te4 Te 0.738 0.017 0.608
Te5 Te 0.738 0.625 0.393
Te6 Te 0.745 0.443 0.000
```